Simulated powder diffraction line list
Compound: BaMg6ZnO8
Radiation: copper Kα
Structure: a structure optimized by DFT (GGA-PBE)

Largest 6 diffraction maxima, in order of rising 2θ, 2θ from 5° to 70°:
index, 2θ (°), I (rel.)
1 0 0, 18.9, 56.9
1 0 2, 27.9, 46.6
1 1 2, 33.9, 58.8
2 0 0, 38.3, 100.0
0 0 4, 41.4, 36.2
2 0 4, 57.6, 49.5

Atomic structure:
Cell lengths 4.7052, 4.7052, 8.7247 Å; angles 90.00, 90.00, 90.00 degrees
Space group P4/mmm (No. 123)
Unique sites:
Ba (0.0000, 0.0000, 0.0000)
Mg (0.0000, 0.5000, 0.2672)
Mg (0.5000, 0.5000, 0.0000)
Mg (0.5000, 0.5000, 0.5000)
Zn (0.0000, 0.0000, 0.5000)
O (0.0000, 0.0000, 0.2827)
O (0.0000, 0.5000, 0.0000)
O (0.0000, 0.5000, 0.5000)
O (0.5000, 0.5000, 0.2524)


Simulated powder diffraction line list
Compound: BaMg2P2
Radiation: copper Kα
Structure: a structure optimized by DFT (GGA-PBE)

Largest 6 diffraction maxima, in order of rising 2θ, 2θ from 5° to 70°:
index, 2θ (°), I (rel.)
0 0 1, 11.6, 28.6
0 1 1, 26.2, 100.0
0 1 2, 33.3, 57.0
1 1 0, 41.1, 35.4
1 0 3, 42.8, 24.7
2 0 2, 53.9, 24.3

Atomic structure:
Cell lengths 4.3894, 4.3894, 7.6194 Å; angles 90.00, 90.00, 120.00 degrees
Space group P-3m1 (No. 164)
Unique sites:
Ba (0.0000, 0.0000, 0.0000)
Mg (0.3333, 0.6667, 0.6230)
P (0.3333, 0.6667, 0.2767)


Simulated powder diffraction line list
Compound: BaMg5Pb2
Radiation: copper Kα
Structure: a structure optimized by DFT (GGA-PBE)

Largest 6 diffraction maxima, in order of rising 2θ, 2θ from 5° to 70°:
index, 2θ (°), I (rel.)
0 0 2, 15.6, 23.6
0 2 0, 20.6, 45.3
1 1 0, 21.5, 21.4
1 1 2, 26.7, 100.0
0 2 4, 37.9, 30.4
1 3 2, 40.1, 38.5

Atomic structure:
Cell lengths 4.7025, 8.6177, 11.3717 Å; angles 90.00, 90.00, 90.00 degrees
Space group Immm (No. 71)
Unique sites:
Ba (0.0000, 0.0000, 0.0000)
Mg (0.0000, 0.1801, 0.3604)
Mg (0.0000, 0.5000, 0.0000)
Pb (0.0000, 0.5000, 0.2580)


Simulated powder diffraction line list
Compound: BaMg2Pb6
Radiation: copper Kα
Structure: a structure optimized by DFT (GGA-PBE)

Largest 6 diffraction maxima, in order of rising 2θ, 2θ from 5° to 70°:
index, 2θ (°), I (rel.)
2 2 0, 18.1, 19.9
4 0 0, 25.7, 100.0
4 4 0, 36.7, 94.4
4 4 4, 45.3, 30.2
8 4 0, 59.7, 40.6
8 4 4, 66.1, 34.8

Atomic structure:
Cell lengths 13.8593, 13.8593, 13.8593 Å; angles 90.00, 90.00, 90.00 degrees
Space group Fd-3m (No. 227, origin choice 2)
Unique sites:
Ba (0.1250, 0.1250, 0.1250)
Mg (0.0000, 0.0000, 0.5000)
Pb (0.1231, 0.3750, 0.8750)


Simulated powder diffraction line list
Compound: Ba2Mg5Pb3
Radiation: copper Kα
Structure: a structure optimized by DFT (GGA-PBE)

Largest 6 diffraction maxima, in order of rising 2θ, 2θ from 5° to 70°:
index, 2θ (°), I (rel.)
2 1 1, 19.9, 52.7
3 2 1, 27.7, 88.1
2 4 0, 29.0, 69.4
2 0 2, 29.3, 68.1
0 4 2, 36.4, 100.0
5 2 1, 39.7, 72.3

Atomic structure:
Cell lengths 12.7635, 14.0809, 6.9362 Å; angles 90.00, 90.00, 90.00 degrees
Space group Ibam (No. 72)
Unique sites:
Ba (0.2441, 0.1236, 0.0000)
Mg (0.0000, 0.2628, 0.2500)
Mg (0.0000, 0.5000, 0.2500)
Mg (0.1293, 0.1298, 0.5000)
Pb (0.0000, 0.0000, 0.2500)
Pb (0.1424, 0.3783, 0.0000)


Simulated powder diffraction line list
Compound: BaMg2Pb3
Radiation: copper Kα
Structure: a structure optimized by DFT (GGA-PBE)

Largest 6 diffraction maxima, in order of rising 2θ, 2θ from 5° to 70°:
index, 2θ (°), I (rel.)
2 2 0, 23.1, 42.0
2 2 1, 26.9, 45.3
0 0 2, 27.3, 62.4
3 1 1, 27.5, 100.0
2 2 2, 36.1, 46.9
3 3 1, 37.6, 57.3

Atomic structure:
Cell lengths 12.0976, 9.9932, 6.5232 Å; angles 90.00, 90.00, 90.00 degrees
Space group Cmcm (No. 63)
Unique sites:
Ba (0.0000, 0.1739, 0.2500)
Mg (0.2220, 0.5000, 0.0000)
Pb (0.0000, 0.4602, 0.7500)
Pb (0.1872, 0.2269, 0.7500)


Simulated powder diffraction line list
Compound: Ba2MgTl7Pb2
Radiation: copper Kα
Structure: a structure optimized by DFT (GGA-PBE)

Largest 6 diffraction maxima, in order of rising 2θ, 2θ from 5° to 70°:
index, 2θ (°), I (rel.)
0 2 1, 26.2, 43.7
1 1 4, 29.3, 44.0
0 2 3, 30.5, 41.2
2 0 3, 31.5, 44.2
0 2 4, 33.8, 70.1
2 2 -1, 36.2, 100.0

Atomic structure:
Cell lengths 7.1320, 6.9621, 16.4201 Å; angles 90.00, 95.85, 90.00 degrees
Space group C2/m (No. 12)
Unique sites:
Ba (0.0952, 0.0000, 0.3331)
Mg (0.0000, 0.0000, 0.0000)
Tl (0.0000, 0.5000, 0.0000)
Tl (0.1945, 0.5000, 0.4626)
Tl (0.2108, 0.2493, 0.8599)
Pb (0.0759, 0.5000, 0.2704)


Simulated powder diffraction line list
Compound: BaMgZnPb2
Radiation: copper Kα
Structure: a structure optimized by DFT (GGA-PBE)

Largest 6 diffraction maxima, in order of rising 2θ, 2θ from 5° to 70°:
index, 2θ (°), I (rel.)
1 0 1, 19.5, 36.0
1 1 0, 25.9, 65.9
1 0 3, 27.8, 100.0
2 0 0, 37.0, 55.2
1 0 5, 39.7, 44.8
2 1 3, 46.9, 51.5

Atomic structure:
Cell lengths 4.8597, 4.8597, 12.8360 Å; angles 90.00, 90.00, 90.00 degrees
Space group I-4m2 (No. 119)
Unique sites:
Ba (0.0000, 0.0000, 0.0000)
Mg (0.0000, 0.5000, 0.2500)
Zn (0.0000, 0.5000, 0.7500)
Pb (0.0000, 0.0000, 0.3775)